This entry pairs a crystal structure of Mn2Ag3Br3O2 with its calculated powder XRD pattern. Radiation: CuKα. Structure: a structure optimized by DFT (PBE+U).

Cell and atoms:
a b c (Å): 12.011 12.011 12.011
angles (deg): 159.98 159.98 28.46
Fractional coordinates of all 10 atoms:
Mn (0.250, 0.750, 0.500)
Mn (0.750, 0.250, 0.500)
Ag (0.000, 0.000, 0.000)
Ag (0.377, 0.377, 0.000)
Ag (0.623, 0.623, 0.000)
Br (0.123, 0.123, 0.000)
Br (0.500, 0.500, 0.000)
Br (0.877, 0.877, 0.000)
O (0.271, 0.271, 0.000)
O (0.729, 0.729, 0.000)

Peak list (6 most intense, 2θ from 10° to 80°, sorted by position)
2θ/deg	d [Å]	I/Imax
30.27	2.952	1000
30.72	2.911	957
31.25	2.862	576
43.34	2.088	752
43.67	2.073	661
54.06	1.696	722